(1)
This entry pairs a crystal structure of PmSm5Mg6 with its theoretical powder X-ray diffraction pattern. Radiation: Cu Kα. Structure: a DFT-relaxed cell (GGA-PBE, Alexandria).

Most intense lines, 5° ≤ 2θ ≤ 70°, by intensity:
hkl, 2theta, intensity
2 0 0, 32.89, 100
1 3 0, 23.10, 60
3 3 2, 58.73, 38
3 3 0, 53.18, 26
2 0 2, 40.58, 19
2 6 0, 47.20, 18
4 0 0, 68.97, 12

```
data_PmSm5Mg6
_space_group_name_H-M_alt 'C m m m'
_space_group_IT_number 65
_space_group_name_Hall '-C 2 2'
_cell_length_a 5.4456
_cell_length_b 16.3397
_cell_length_c 7.7017
_cell_angle_alpha 90.00
_cell_angle_beta 90.00
_cell_angle_gamma 90.00
loop_
_atom_site_label
_atom_site_type_symbol
_atom_site_fract_x
_atom_site_fract_y
_atom_site_fract_z
_atom_site_occupancy
Pm1 Pm 0.0000 0.0000 0.0000 1
Sm1 Sm 0.0000 0.0000 0.5000 1
Sm2 Sm 0.0000 0.3330 0.0000 1
Sm3 Sm 0.0000 0.3337 0.5000 1
Mg1 Mg 0.0000 0.1672 0.2513 1
Mg2 Mg 0.0000 0.5000 0.2502 1
```

(2)
This entry pairs a crystal structure of Pm2Sm2Mg3 with its theoretical powder X-ray diffraction pattern. Radiation: Cu Kα. Structure: a DFT-relaxed cell (GGA-PBE, Alexandria).

Most intense lines, 5° ≤ 2θ ≤ 70°, by intensity:
hkl, 2theta, intensity
1 0 7, 32.21, 100
1 1 0, 33.19, 49
1 0 1, 23.52, 43
2 1 7, 58.68, 36
0 0 8, 25.11, 21
2 0 0, 47.65, 18
1 1 14, 56.79, 17
1 1 8, 42.06, 16
2 0 14, 67.38, 11
1 0 15, 54.09, 11

```
data_Pm2Sm2Mg3
_space_group_name_H-M_alt 'I 4/m m m'
_space_group_IT_number 139
_space_group_name_Hall '-I 4 2'
_cell_length_a 3.8169
_cell_length_b 3.8169
_cell_length_c 28.3856
_cell_angle_alpha 90.00
_cell_angle_beta 90.00
_cell_angle_gamma 90.00
loop_
_atom_site_label
_atom_site_type_symbol
_atom_site_fract_x
_atom_site_fract_y
_atom_site_fract_z
_atom_site_occupancy
Pm1 Pm 0.0000 0.0000 0.0678 1
Sm1 Sm 0.0000 0.0000 0.2073 1
Mg1 Mg 0.0000 0.0000 0.3622 1
Mg2 Mg 0.0000 0.0000 0.5000 1
```

(3)
This entry pairs a crystal structure of Pm3Sm6Mg with its theoretical powder X-ray diffraction pattern. Radiation: Cu Kα. Structure: a DFT-relaxed cell (GGA-PBE, Alexandria).

Most intense lines, 5° ≤ 2θ ≤ 70°, by intensity:
hkl, 2theta, intensity
1 3 1, 29.18, 100
3 1 1, 31.35, 62
3 0 1, 30.43, 59
0 0 2, 33.74, 50
0 3 1, 27.92, 33
2 4 0, 34.35, 26
2 4 2, 48.93, 24
1 3 3, 57.59, 19
4 3 0, 40.91, 19
1 4 1, 35.38, 17

```
data_Pm3Sm6Mg
_space_group_name_H-M_alt 'P n n m'
_space_group_IT_number 58
_cell_length_a 10.5742
_cell_length_b 12.0073
_cell_length_c 5.3135
_cell_angle_alpha 90.00
_cell_angle_beta 90.00
_cell_angle_gamma 90.00
loop_
_space_group_symop_operation_xyz
'x,y,z'
'-x,-y,-z'
'-x,-y,z'
'x,y,-z'
'x+1/2,-y+1/2,-z+1/2'
'-x+1/2,y+1/2,z+1/2'
'-x+1/2,y+1/2,-z+1/2'
'x+1/2,-y+1/2,z+1/2'
loop_
_atom_site_label
_atom_site_type_symbol
_atom_site_fract_x
_atom_site_fract_y
_atom_site_fract_z
_atom_site_occupancy
Pm1 Pm 0.0000 0.0000 0.0000 1
Pm2 Pm 0.1211 0.2152 0.5000 1
Sm1 Sm 0.0695 0.7466 0.0000 1
Sm2 Sm 0.1741 0.5803 0.5000 1
Sm3 Sm 0.2165 0.8852 0.5000 1
Mg1 Mg 0.0000 0.5000 0.0000 1
```

(4)
This entry pairs a crystal structure of Pm4Sm7Mg with its theoretical powder X-ray diffraction pattern. Radiation: Cu Kα. Structure: a DFT-relaxed cell (GGA-PBE, Alexandria).

Most intense lines, 5° ≤ 2θ ≤ 70°, by intensity:
hkl, 2theta, intensity
1 0 4, 30.20, 100
0 1 8, 35.12, 65
0 0 12, 30.54, 29
1 1 12, 59.98, 26
1 1 0, 50.28, 25
1 0 16, 50.73, 20
0 2 4, 59.79, 14
2 0 8, 62.81, 12
0 1 20, 60.38, 11
0 0 2, 5.03, 6

```
data_Pm4Sm7Mg
_space_group_name_H-M_alt 'P -3 m 1'
_space_group_IT_number 164
_space_group_name_Hall '-P 3 2"'
_cell_length_a 3.6290
_cell_length_b 3.6290
_cell_length_c 35.1239
_cell_angle_alpha 90.00
_cell_angle_beta 90.00
_cell_angle_gamma 120.00
loop_
_atom_site_label
_atom_site_type_symbol
_atom_site_fract_x
_atom_site_fract_y
_atom_site_fract_z
_atom_site_occupancy
Pm1 Pm 0.3333 0.6667 0.1609 1
Pm2 Pm 0.3333 0.6667 0.4152 1
Sm1 Sm 0.0000 0.0000 0.2461 1
Sm2 Sm 0.0000 0.0000 0.5000 1
Sm3 Sm 0.3333 0.6667 0.6697 1
Sm4 Sm 0.3333 0.6667 0.9230 1
Mg1 Mg 0.0000 0.0000 0.0000 1
```

(5)
This entry pairs a crystal structure of Pm5Sm4Mg2 with its theoretical powder X-ray diffraction pattern. Radiation: Cu Kα. Structure: a DFT-relaxed cell (GGA-PBE, Alexandria).

Most intense lines, 5° ≤ 2θ ≤ 70°, by intensity:
hkl, 2theta, intensity
2 0 3, 31.93, 100
3 0 -1, 30.94, 41
1 1 -2, 31.21, 32
2 1 1, 33.98, 27
2 2 3, 62.58, 24
0 1 2, 29.85, 17
2 1 -2, 35.66, 17
1 1 5, 48.93, 15
4 1 1, 50.07, 15
5 0 2, 55.66, 13

```
data_Pm5Sm4Mg2
_space_group_name_H-M_alt 'P 1 2/m 1'
_space_group_IT_number 10
_cell_length_a 8.8158
_cell_length_b 3.4991
_cell_length_c 11.5900
_cell_angle_alpha 90.00
_cell_angle_beta 94.07
_cell_angle_gamma 90.00
loop_
_space_group_symop_operation_xyz
'x,y,z'
'-x,-y,-z'
'-x,y,-z'
'x,-y,z'
loop_
_atom_site_label
_atom_site_type_symbol
_atom_site_fract_x
_atom_site_fract_y
_atom_site_fract_z
_atom_site_occupancy
Pm1 Pm 0.0000 0.0000 0.0000 1
Pm2 Pm 0.0692 0.0000 0.2954 1
Pm3 Pm 0.2955 0.0000 0.8325 1
Sm1 Sm 0.2181 0.5000 0.5483 1
Sm2 Sm 0.3517 0.5000 0.1141 1
Mg1 Mg 0.4468 0.0000 0.3685 1
```

(6)
This entry pairs a crystal structure of PmSm4Mg with its theoretical powder X-ray diffraction pattern. Radiation: Cu Kα. Structure: a DFT-relaxed cell (GGA-PBE, Alexandria).

Most intense lines, 5° ≤ 2θ ≤ 70°, by intensity:
hkl, 2theta, intensity
1 6 1, 32.02, 100
2 0 0, 31.10, 30
0 0 2, 29.92, 22
3 6 1, 55.92, 20
1 1 2, 34.05, 16
2 0 2, 43.70, 16
0 2 0, 7.78, 15
1 2 1, 22.85, 11
2 12 0, 58.34, 9
1 6 3, 54.45, 9

```
data_PmSm4Mg
_space_group_name_H-M_alt 'I m m a'
_space_group_IT_number 74
_space_group_name_Hall '-I 2b 2'
_cell_length_a 5.7511
_cell_length_b 22.7287
_cell_length_c 5.9734
_cell_angle_alpha 90.00
_cell_angle_beta 90.00
_cell_angle_gamma 90.00
loop_
_atom_site_label
_atom_site_type_symbol
_atom_site_fract_x
_atom_site_fract_y
_atom_site_fract_z
_atom_site_occupancy
Pm1 Pm 0.0000 0.2500 0.0731 1
Sm1 Sm 0.0000 0.0783 0.0146 1
Sm2 Sm 0.0000 0.1699 0.5585 1
Mg1 Mg 0.0000 0.0000 0.5000 1
```

(7)
This entry pairs a crystal structure of Tb2PmSm2Mg with its theoretical powder X-ray diffraction pattern. Radiation: Cu Kα. Structure: a DFT-relaxed cell (GGA-PBE, Alexandria).

Most intense lines, 5° ≤ 2θ ≤ 70°, by intensity:
hkl, 2theta, intensity
0 1 5, 28.61, 100
1 1 4, 34.79, 94
1 1 2, 30.56, 93
0 2 0, 32.44, 73
1 1 0, 29.03, 61
0 0 6, 28.31, 39
1 0 7, 41.36, 30
1 2 7, 53.52, 29
2 1 5, 57.89, 28
0 1 11, 56.01, 25

```
data_Tb2PmSm2Mg
_space_group_name_H-M_alt 'I m m m'
_space_group_IT_number 71
_space_group_name_Hall '-I 2 2'
_cell_length_a 3.7046
_cell_length_b 5.5202
_cell_length_c 18.9150
_cell_angle_alpha 90.00
_cell_angle_beta 90.00
_cell_angle_gamma 90.00
loop_
_atom_site_label
_atom_site_type_symbol
_atom_site_fract_x
_atom_site_fract_y
_atom_site_fract_z
_atom_site_occupancy
Tb1 Tb 0.0000 0.0000 0.1327 1
Pm1 Pm 0.0000 0.5000 0.0000 1
Sm1 Sm 0.0000 0.0000 0.3140 1
Mg1 Mg 0.0000 0.5000 0.5000 1
```

(8)
This entry pairs a crystal structure of Tb4Pm2SmMg with its theoretical powder X-ray diffraction pattern. Radiation: Cu Kα. Structure: a DFT-relaxed cell (GGA-PBE, Alexandria).

Most intense lines, 5° ≤ 2θ ≤ 70°, by intensity:
hkl, 2theta, intensity
1 1 2, 30.80, 100
2 0 0, 35.97, 33
2 0 4, 51.22, 24
0 0 4, 35.21, 17
1 1 6, 60.47, 15
3 1 2, 61.54, 14
1 3 2, 61.41, 14
2 2 0, 51.78, 12
2 2 4, 64.17, 12
0 0 1, 8.67, 5

```
data_Tb4Pm2SmMg
_space_group_name_H-M_alt 'P m m m'
_space_group_IT_number 47
_cell_length_a 4.9871
_cell_length_b 5.0001
_cell_length_c 10.1948
_cell_angle_alpha 90.00
_cell_angle_beta 90.00
_cell_angle_gamma 90.00
loop_
_space_group_symop_operation_xyz
'x,y,z'
'-x,-y,-z'
'-x,-y,z'
'x,y,-z'
'x,-y,-z'
'-x,y,z'
'-x,y,-z'
'x,-y,z'
loop_
_atom_site_label
_atom_site_type_symbol
_atom_site_fract_x
_atom_site_fract_y
_atom_site_fract_z
_atom_site_occupancy
Tb1 Tb 0.0000 0.0000 0.2471 1
Tb2 Tb 0.5000 0.5000 0.2472 1
Pm1 Pm 0.0000 0.5000 0.0000 1
Pm2 Pm 0.5000 0.0000 0.5000 1
Sm1 Sm 0.0000 0.5000 0.5000 1
Mg1 Mg 0.5000 0.0000 0.0000 1
```

(9)
This entry pairs a crystal structure of Tb2PmSmMg with its theoretical powder X-ray diffraction pattern. Radiation: Cu Kα. Structure: a DFT-relaxed cell (GGA-PBE, Alexandria).

Most intense lines, 5° ≤ 2θ ≤ 70°, by intensity:
hkl, 2theta, intensity
1 1 3, 31.02, 100
4 0 2, 35.89, 34
4 2 2, 51.85, 24
0 2 0, 36.14, 16
1 3 3, 61.83, 14
5 1 5, 61.56, 14
1 1 -7, 61.43, 14
2 2 6, 64.67, 12
2 0 6, 51.63, 6
6 0 -2, 51.70, 6

```
data_Tb2PmSmMg
_space_group_name_H-M_alt 'C 1 2/m 1'
_space_group_IT_number 12
_cell_length_a 11.1750
_cell_length_b 4.9704
_cell_length_c 11.2034
_cell_angle_alpha 90.00
_cell_angle_beta 90.08
_cell_angle_gamma 90.00
loop_
_space_group_symop_operation_xyz
'x,y,z'
'-x,-y,-z'
'-x,y,-z'
'x,-y,z'
'x+1/2,y+1/2,z'
'-x+1/2,-y+1/2,-z'
'-x+1/2,y+1/2,-z'
'x+1/2,-y+1/2,z'
loop_
_atom_site_label
_atom_site_type_symbol
_atom_site_fract_x
_atom_site_fract_y
_atom_site_fract_z
_atom_site_occupancy
Tb1 Tb 0.1472 0.0000 0.4519 1
Tb2 Tb 0.1540 0.5000 0.9471 1
Pm1 Pm 0.2464 0.5000 0.2551 1
Sm1 Sm 0.0470 0.0000 0.1509 1
Mg1 Mg 0.0531 0.5000 0.6407 1
```

(10)
This entry pairs a crystal structure of PmSm2MgTl4 with its theoretical powder X-ray diffraction pattern. Radiation: Cu Kα. Structure: a DFT-relaxed cell (GGA-PBE, Alexandria).

Most intense lines, 5° ≤ 2θ ≤ 70°, by intensity:
hkl, 2theta, intensity
0 1 8, 32.65, 100
1 1 0, 33.63, 96
1 2 8, 59.52, 37
2 0 8, 47.58, 37
3 0 0, 60.14, 18
1 0 16, 57.63, 18
1 0 4, 23.27, 16
0 2 16, 68.40, 12
0 0 6, 19.51, 6
1 1 12, 52.94, 5

```
data_PmSm2MgTl4
_space_group_name_H-M_alt 'R -3 m'
_space_group_IT_number 166
_space_group_name_Hall '-R 3 2"'
_cell_length_a 5.3299
_cell_length_b 5.3299
_cell_length_c 27.2822
_cell_angle_alpha 90.00
_cell_angle_beta 90.00
_cell_angle_gamma 120.00
loop_
_atom_site_label
_atom_site_type_symbol
_atom_site_fract_x
_atom_site_fract_y
_atom_site_fract_z
_atom_site_occupancy
Pm1 Pm 0.0000 0.0000 0.0000 1
Sm1 Sm 0.0000 0.0000 0.2421 1
Mg1 Mg 0.0000 0.0000 0.5000 1
Tl1 Tl 0.0000 0.0000 0.1238 1
Tl2 Tl 0.0000 0.0000 0.3756 1
```

(11)
This entry pairs a crystal structure of Pm4SmTm2Mg with its theoretical powder X-ray diffraction pattern. Radiation: Cu Kα. Structure: a DFT-relaxed cell (GGA-PBE, Alexandria).

Most intense lines, 5° ≤ 2θ ≤ 70°, by intensity:
hkl, 2theta, intensity
1 1 2, 30.81, 100
2 0 0, 35.51, 34
3 1 2, 60.86, 29
2 0 4, 51.57, 24
0 0 4, 36.15, 16
1 1 6, 61.71, 14
2 2 0, 51.09, 12
2 2 4, 64.18, 12
1 0 1, 19.70, 6
0 0 1, 8.90, 3

```
data_Pm4SmTm2Mg
_space_group_name_H-M_alt 'P 4/m m m'
_space_group_IT_number 123
_space_group_name_Hall '-P 4 2'
_cell_length_a 5.0565
_cell_length_b 5.0565
_cell_length_c 9.9399
_cell_angle_alpha 90.00
_cell_angle_beta 90.00
_cell_angle_gamma 90.00
loop_
_atom_site_label
_atom_site_type_symbol
_atom_site_fract_x
_atom_site_fract_y
_atom_site_fract_z
_atom_site_occupancy
Pm1 Pm 0.0000 0.5000 0.2439 1
Sm1 Sm 0.0000 0.0000 0.5000 1
Tm1 Tm 0.0000 0.0000 0.0000 1
Tm2 Tm 0.5000 0.5000 0.5000 1
Mg1 Mg 0.5000 0.5000 0.0000 1
```

(12)
This entry pairs a crystal structure of Pm2SmTm2Mg5 with its theoretical powder X-ray diffraction pattern. Radiation: Cu Kα. Structure: a DFT-relaxed cell (GGA-PBE, Alexandria).

Most intense lines, 5° ≤ 2θ ≤ 70°, by intensity:
hkl, 2theta, intensity
3 1 1, 31.92, 100
0 0 1, 17.41, 94
0 0 2, 35.21, 74
3 1 0, 26.54, 45
3 1 2, 44.65, 23
4 1 0, 34.84, 21
2 2 1, 29.56, 20
3 2 2, 47.16, 18
3 1 3, 61.15, 15
7 2 1, 66.70, 15

```
data_Pm2SmTm2Mg5
_space_group_name_H-M_alt 'P 4/m b m'
_space_group_IT_number 127
_space_group_name_Hall '-P 4 2ab'
_cell_length_a 10.6187
_cell_length_b 10.6187
_cell_length_c 5.0952
_cell_angle_alpha 90.00
_cell_angle_beta 90.00
_cell_angle_gamma 90.00
loop_
_atom_site_label
_atom_site_type_symbol
_atom_site_fract_x
_atom_site_fract_y
_atom_site_fract_z
_atom_site_occupancy
Pm1 Pm 0.1770 0.3230 0.0000 1
Sm1 Sm 0.0000 0.0000 0.0000 1
Tm1 Tm 0.1190 0.6190 0.0000 1
Mg1 Mg 0.0000 0.5000 0.5000 1
Mg2 Mg 0.0741 0.8011 0.5000 1
```